1.
For Ac2Mg3, a crystal structure in Alexandria, relaxed with PBE gives the theoretical X-ray powder pattern in this record (Cu Kα X-rays).

Peak list (6 most intense, 10° ≤ 2θ ≤ 90°, by angle)
2theta	intensity
19.6	91
30.3	100
30.8	60
32.1	54
32.9	30
45.7	42

```
Ac2Mg3
1.0
1.8569 -16.2614 0.0000
1.8569 16.2614 0.0000
0.0000 0.0000 5.4425
Ac Mg
4 6
Cartesian
1.8569 13.8885 4.0819
1.8569 9.2691 1.3606
1.8569 -9.2691 4.0819
1.8569 -13.8885 1.3606
1.8569 5.5447 1.3606
1.8569 3.9068 4.0819
1.8569 0.7823 4.0819
1.8569 -0.7823 1.3606
1.8569 -3.9068 1.3606
1.8569 -5.5447 4.0819
```



2.
For Ac6Mg23, a crystal structure in Alexandria, relaxed with PBE gives the theoretical X-ray powder pattern in this record (Cu Kα X-rays).

Peak list (6 most intense, 10° ≤ 2θ ≤ 90°, by angle)
2theta	intensity
20.7	87
24.0	47
26.2	43
29.5	42
31.3	100
34.2	62

```
Ac6Mg23
1.0
0.0000 7.4168 7.4168
7.4168 0.0000 7.4168
7.4168 7.4168 0.0000
Ac Mg
6 23
Cartesian
7.4168 7.4168 3.0594
7.4168 3.0594 7.4168
11.7741 7.4168 7.4168
3.0594 7.4168 7.4168
7.4168 11.7741 7.4168
7.4168 7.4168 11.7741
3.7084 3.7084 0.0000
3.7084 0.0000 3.7084
7.4168 3.7084 3.7084
9.2220 5.6115 5.6115
2.5869 2.5869 2.5869
4.8299 4.8299 2.5869
4.8299 2.5869 4.8299
5.6115 5.6115 5.6115
9.2220 9.2220 5.6115
9.2220 5.6115 9.2220
2.5869 4.8299 4.8299
0.0000 3.7084 3.7084
3.7084 7.4168 3.7084
3.7084 3.7084 7.4168
7.4168 7.4168 7.4168
12.2467 10.0036 10.0036
5.6115 9.2220 5.6115
5.6115 5.6115 9.2220
9.2220 9.2220 9.2220
10.0036 12.2467 10.0036
10.0036 10.0036 12.2467
12.2467 12.2467 12.2467
5.6115 9.2220 9.2220
```